Starting from the PBE geometry in Alexandria, the powder diffraction line list of DyNp2CuS5 was simulated for a wavelength of 1.5418 Å.
Intensities are scaled so that the largest is 100.

Cell and atoms:
a b c (Å): 8.3668 8.3668 11.7239
angles (deg): 90.00 90.00 153.78
Fractional positions:
Dy1 0.1811 0.8189 0.5000
Dy2 0.8189 0.1811 0.0000
Np1 0.1109 0.8891 0.8205
Np2 0.1166 0.8834 0.1651
Np3 0.8834 0.1166 0.6651
Np4 0.8891 0.1109 0.3205
Cu1 0.4491 0.5509 0.8972
Cu2 0.5509 0.4491 0.3972
S1 0.0128 0.9872 0.4913
S2 0.3019 0.6981 0.1650
S3 0.3139 0.6861 0.8306
S4 0.3470 0.6530 0.4924
S5 0.4946 0.5054 0.2221
S6 0.5054 0.4946 0.7221
S7 0.6530 0.3470 0.9924
S8 0.6861 0.3139 0.3306
S9 0.6981 0.3019 0.6650
S10 0.9872 0.0128 0.9913

Top 10 peaks for 2θ = 15–90°, by angle:
2θ = 21.8°, I 38; 2θ = 24.1°, I 35; 2θ = 25.3°, I 82; 2θ = 28.7°, I 31; 2θ = 29.7°, I 27; 2θ = 33.4°, I 100; 2θ = 33.9°, I 25; 2θ = 36.9°, I 31; 2θ = 39.6°, I 44; 2θ = 46.4°, I 29